Calculated powder diffractogram of Ce6Mg23As for Cu Kα (λ = 1.5418 Å), from DFT lattice parameters and positions (GGA-PBE).
Lines closer than 0.1° are merged.

Crystal structure
```
data_Ce6Mg23As
_symmetry_space_group_name_H-M 'F m -3 m'
_symmetry_Int_Tables_number 225
_symmetry_space_group_name_Hall '-F 4 2 3'
_cell_length_a 14.513
_cell_length_b 14.513
_cell_length_c 14.513
_cell_angle_alpha 90.00
_cell_angle_beta 90.00
_cell_angle_gamma 90.00
loop_
_atom_site_label
_atom_site_type_symbol
_atom_site_fract_x
_atom_site_fract_y
_atom_site_fract_z
Ce1 Ce 0.000 0.000 0.205
Mg1 Mg 0.000 0.000 0.500
Mg2 Mg 0.000 0.250 0.250
Mg3 Mg 0.120 0.120 0.380
Mg4 Mg 0.173 0.173 0.173
As1 As 0.000 0.000 0.000
```

Peak list (12 most intense, 2θ = 5–70°, by angle)
two_theta  d/Å  Rel. int.  hkl
10.6  8.379  40  1 1 1
12.2  7.257  32  2 0 0
21.2  4.190  40  2 2 2
24.5  3.628  39  4 0 0
30.2  2.962  23  4 2 2
32.0  2.793  100  3 3 3
35.0  2.566  74  4 4 0
37.2  2.419  20  6 0 0
44.6  2.032  29  5 5 1
48.2  1.889  21  5 5 3
53.6  1.710  26  8 2 2
66.7  1.403  26  7 7 3



Calculated powder diffractogram of Ce2Ni12As7 for Cu Kα (λ = 1.5418 Å), from DFT lattice parameters and positions (GGA-PBE).
Lines closer than 0.1° are merged.

Crystal structure
```
data_Ce2Ni12As7
_symmetry_space_group_name_H-M 'P -6'
_symmetry_Int_Tables_number 174
_symmetry_space_group_name_Hall 'P -6'
_cell_length_a 9.4023
_cell_length_b 9.4023
_cell_length_c 3.8975
_cell_angle_alpha 90.00
_cell_angle_beta 90.00
_cell_angle_gamma 120.00
loop_
_atom_site_label
_atom_site_type_symbol
_atom_site_fract_x
_atom_site_fract_y
_atom_site_fract_z
Ce1 Ce 0.0000 0.0000 0.0000
Ce2 Ce 0.3333 0.6667 0.5000
Ni1 Ni 0.0476 0.2889 0.5000
Ni2 Ni 0.1006 0.7159 0.0000
Ni3 Ni 0.3890 0.1822 0.0000
Ni4 Ni 0.5517 0.4296 0.5000
As1 As 0.0680 0.4471 0.0000
As2 As 0.2655 0.2259 0.5000
As3 As 0.6667 0.3333 0.0000
```

Peak list (12 most intense, 2θ = 5–70°, by angle)
two_theta  d/Å  Rel. int.  hkl
31.8  2.815  14  2 0 1
33.0  2.714  14  3 0 0
37.2  2.415  100  2 1 1
38.3  2.351  8  2 2 0
39.9  2.258  9  1 3 0
40.5  2.227  11  3 0 1
44.5  2.036  11  4 0 0
46.5  1.954  25  1 3 1
46.6  1.949  29  0 0 2
51.4  1.777  22  1 4 0
54.5  1.685  19  3 2 1
66.4  1.408  6  4 0 2



Calculated powder diffractogram of Ce6Ni20As13 for Cu Kα (λ = 1.5418 Å), from DFT lattice parameters and positions (GGA-PBE).
Lines closer than 0.1° are merged.

Crystal structure
```
data_Ce6Ni20As13
_symmetry_space_group_name_H-M 'P -6'
_symmetry_Int_Tables_number 174
_symmetry_space_group_name_Hall 'P -6'
_cell_length_a 13.2088
_cell_length_b 13.2088
_cell_length_c 3.9462
_cell_angle_alpha 90.00
_cell_angle_beta 90.00
_cell_angle_gamma 120.00
loop_
_atom_site_label
_atom_site_type_symbol
_atom_site_fract_x
_atom_site_fract_y
_atom_site_fract_z
Ce1 Ce 0.0524 0.1969 0.0000
Ce2 Ce 0.5209 0.3863 0.5000
Ni1 Ni 0.0000 0.0000 0.5000
Ni2 Ni 0.0138 0.4220 0.0000
Ni3 Ni 0.0862 0.7357 0.5000
Ni4 Ni 0.1763 0.5956 0.5000
Ni5 Ni 0.2245 0.4689 0.0000
Ni6 Ni 0.3113 0.2302 0.0000
Ni7 Ni 0.3557 0.1008 0.5000
Ni8 Ni 0.6667 0.3333 0.0000
As1 As 0.0544 0.6185 0.0000
As2 As 0.1028 0.3896 0.5000
As3 As 0.1999 0.1451 0.5000
As4 As 0.3333 0.6667 0.0000
As5 As 0.4676 0.1882 0.0000
```

Peak list (12 most intense, 2θ = 5–70°, by angle)
two_theta  d/Å  Rel. int.  hkl
32.7  2.742  19  3 0 1
34.2  2.624  11  3 2 0
35.4  2.532  31  2 2 1
36.0  2.496  13  1 4 0
36.3  2.473  100  3 1 1
38.9  2.316  13  4 0 1
41.3  2.185  13  2 3 1
41.8  2.162  13  2 4 0
44.1  2.055  13  1 5 0
46.0  1.973  35  0 0 2
49.8  1.832  31  2 5 0
55.3  1.661  25  5 2 1



Calculated powder diffractogram of CeAsO4 for Cu Kα (λ = 1.5418 Å), from DFT lattice parameters and positions (GGA-PBE).
Lines closer than 0.1° are merged.

Crystal structure
```
data_CeAsO4
_symmetry_space_group_name_H-M 'P 1 21/c 1'
_symmetry_Int_Tables_number 14
_symmetry_space_group_name_Hall '-P 2ybc'
_cell_length_a 6.831
_cell_length_b 7.267
_cell_length_c 8.419
_cell_angle_alpha 90.00
_cell_angle_beta 126.42
_cell_angle_gamma 90.00
loop_
_atom_site_label
_atom_site_type_symbol
_atom_site_fract_x
_atom_site_fract_y
_atom_site_fract_z
Ce1 Ce 0.186 0.152 0.284
As1 As 0.309 0.663 0.196
O1 O 0.105 0.657 0.607
O2 O 0.174 0.004 0.747
O3 O 0.346 0.607 0.016
O4 O 0.393 0.215 0.117
```

Peak list (12 most intense, 2θ = 5–70°, by angle)
two_theta  d/Å  Rel. int.  hkl
24.5  3.635  17  0 2 0
26.3  3.387  53  0 0 2
27.9  3.202  100  0 2 1
29.1  3.070  20  0 1 2
29.5  3.024  25  2 1 -1
29.8  3.002  67  2 1 -2
32.6  2.748  25  2 0 0
34.9  2.571  18  2 1 0
44.8  2.021  31  2 1 -4
46.4  1.958  29  2 3 -1
49.4  1.845  23  2 2 1
50.6  1.803  24  2 3 -3



Calculated powder diffractogram of CeZn2AsO2 for Cu Kα (λ = 1.5418 Å), from DFT lattice parameters and positions (GGA-PBE).
Lines closer than 0.1° are merged.

Crystal structure
```
data_CeZn2AsO2
_symmetry_space_group_name_H-M 'P 4/m m m'
_symmetry_Int_Tables_number 123
_symmetry_space_group_name_Hall '-P 4 2'
_cell_length_a 3.236
_cell_length_b 3.236
_cell_length_c 12.799
_cell_angle_alpha 90.00
_cell_angle_beta 90.00
_cell_angle_gamma 90.00
loop_
_atom_site_label
_atom_site_type_symbol
_atom_site_fract_x
_atom_site_fract_y
_atom_site_fract_z
Ce1 Ce 0.000 0.000 0.000
Zn1 Zn 0.000 0.000 0.303
As1 As 0.000 0.000 0.500
O1 O 0.000 0.000 0.156
```

Peak list (12 most intense, 2θ = 5–70°, by angle)
two_theta  d/Å  Rel. int.  hkl
13.8  6.400  13  0 0 2
20.8  4.266  13  0 0 3
27.6  3.236  100  1 0 0
27.9  3.200  16  0 0 4
34.8  2.578  15  1 0 3
39.4  2.288  38  1 1 0
39.6  2.275  25  1 0 4
48.9  1.861  14  1 1 4
51.3  1.781  21  1 0 6
56.9  1.618  12  2 0 0
59.2  1.560  13  1 1 6
64.4  1.447  17  2 1 0



Calculated powder diffractogram of CeAs12Os4 for Cu Kα (λ = 1.5418 Å), from DFT lattice parameters and positions (GGA-PBE).
Lines closer than 0.1° are merged.

Crystal structure
```
data_CeAs12Os4
_symmetry_space_group_name_H-M 'I m -3'
_symmetry_Int_Tables_number 204
_symmetry_space_group_name_Hall '-I 2 2 3'
_cell_length_a 8.625
_cell_length_b 8.625
_cell_length_c 8.625
_cell_angle_alpha 90.00
_cell_angle_beta 90.00
_cell_angle_gamma 90.00
loop_
_atom_site_label
_atom_site_type_symbol
_atom_site_fract_x
_atom_site_fract_y
_atom_site_fract_z
Ce1 Ce 0.000 0.000 0.000
As1 As 0.000 0.346 0.149
Os1 Os 0.250 0.250 0.250
```

Peak list (12 most intense, 2θ = 5–70°, by angle)
two_theta  d/Å  Rel. int.  hkl
20.6  4.313  56  2 0 0
29.3  3.050  100  2 2 0
32.8  2.728  95  3 0 1
36.1  2.490  20  2 2 2
39.1  2.305  45  3 1 2
41.9  2.156  19  4 0 0
47.1  1.929  82  4 2 0
51.9  1.761  93  4 2 2
54.2  1.692  36  4 3 1
60.7  1.525  9  4 4 0
62.8  1.479  7  5 3 0
68.8  1.364  32  6 0 2



Calculated powder diffractogram of CeAs2Pd2 for Cu Kα (λ = 1.5418 Å), from DFT lattice parameters and positions (GGA-PBE).
Lines closer than 0.1° are merged.

Crystal structure
```
data_CeAs2Pd2
_symmetry_space_group_name_H-M 'I 4/m m m'
_symmetry_Int_Tables_number 139
_symmetry_space_group_name_Hall '-I 4 2'
_cell_length_a 4.227
_cell_length_b 4.227
_cell_length_c 10.804
_cell_angle_alpha 90.00
_cell_angle_beta 90.00
_cell_angle_gamma 90.00
loop_
_atom_site_label
_atom_site_type_symbol
_atom_site_fract_x
_atom_site_fract_y
_atom_site_fract_z
Ce1 Ce 0.000 0.000 0.000
As1 As 0.000 0.000 0.383
Pd1 Pd 0.000 0.500 0.250
```

Peak list (12 most intense, 2θ = 5–70°, by angle)
two_theta  d/Å  Rel. int.  hkl
32.7  2.741  44  1 0 3
33.2  2.701  8  0 0 4
34.3  2.615  100  1 1 2
42.8  2.113  51  2 0 0
45.3  2.004  17  1 1 4
47.2  1.924  22  1 0 5
54.9  1.674  20  2 1 3
55.2  1.664  8  2 0 4
60.0  1.542  14  1 1 6
62.1  1.494  17  2 2 0
65.6  1.423  16  2 1 5
69.6  1.351  6  0 0 8



Calculated powder diffractogram of CeAs2Pd3 for Cu Kα (λ = 1.5418 Å), from DFT lattice parameters and positions (GGA-PBE).
Lines closer than 0.1° are merged.

Crystal structure
```
data_CeAs2Pd3
_symmetry_space_group_name_H-M 'C 1 2/m 1'
_symmetry_Int_Tables_number 12
_symmetry_space_group_name_Hall '-C 2y'
_cell_length_a 16.801
_cell_length_b 4.147
_cell_length_c 10.097
_cell_angle_alpha 90.00
_cell_angle_beta 107.83
_cell_angle_gamma 90.00
loop_
_atom_site_label
_atom_site_type_symbol
_atom_site_fract_x
_atom_site_fract_y
_atom_site_fract_z
Ce1 Ce 0.000 0.000 0.000
Ce2 Ce 0.156 0.000 0.702
As1 As 0.038 0.500 0.787
As2 As 0.137 0.500 0.456
As3 As 0.199 0.000 0.129
Pd1 Pd 0.000 0.500 0.500
Pd2 Pd 0.043 0.000 0.334
Pd3 Pd 0.126 0.500 0.204
Pd4 Pd 0.178 0.500 0.967
Pd5 Pd 0.220 0.000 0.392
```

Peak list (12 most intense, 2θ = 5–70°, by angle)
two_theta  d/Å  Rel. int.  hkl
30.0  2.978  11  3 1 -2
30.5  2.935  17  3 1 1
33.6  2.666  13  6 0 0
34.4  2.605  100  1 1 -3
35.4  2.533  8  5 1 0
35.8  2.505  15  5 1 -2
36.0  2.496  8  3 1 2
38.9  2.315  21  5 1 1
42.2  2.140  22  6 0 -4
42.5  2.129  12  2 0 4
43.7  2.074  58  0 2 0
62.4  1.489  10  6 2 -4



Calculated powder diffractogram of CeAs2Rh2 for Cu Kα (λ = 1.5418 Å), from DFT lattice parameters and positions (GGA-PBE).
Lines closer than 0.1° are merged.

Crystal structure
```
data_CeAs2Rh2
_symmetry_space_group_name_H-M 'P 4/n m m'
_symmetry_Int_Tables_number 129
_cell_length_a 4.304
_cell_length_b 4.304
_cell_length_c 10.027
_cell_angle_alpha 90.00
_cell_angle_beta 90.00
_cell_angle_gamma 90.00
loop_
_symmetry_equiv_pos_as_xyz
'x,y,z'
'-x,-y,-z'
'-y+1/2,x,z'
'y+1/2,-x,-z'
'-x+1/2,-y+1/2,z'
'x+1/2,y+1/2,-z'
'y,-x+1/2,z'
'-y,x+1/2,-z'
'x+1/2,-y,-z'
'-x+1/2,y,z'
'-y,-x,-z'
'y,x,z'
'-x,y+1/2,-z'
'x,-y+1/2,z'
'y+1/2,x+1/2,-z'
'-y+1/2,-x+1/2,z'
loop_
_atom_site_label
_atom_site_type_symbol
_atom_site_fract_x
_atom_site_fract_y
_atom_site_fract_z
Ce1 Ce 0.250 0.250 0.248
As1 As 0.250 0.250 0.638
As2 As 0.250 0.750 0.000
Rh1 Rh 0.250 0.250 0.879
Rh2 Rh 0.250 0.750 0.500
```

Peak list (12 most intense, 2θ = 5–70°, by angle)
two_theta  d/Å  Rel. int.  hkl
29.3  3.043  14  1 1 0
34.0  2.640  65  1 0 3
34.5  2.602  100  1 1 2
35.8  2.507  4  0 0 4
42.0  2.152  68  2 0 0
47.0  1.935  19  1 1 4
50.2  1.818  24  1 0 5
55.1  1.668  32  2 1 3
56.3  1.633  5  2 0 4
60.9  1.522  22  2 2 0
63.5  1.465  14  1 1 6
67.4  1.389  19  2 1 5



Calculated powder diffractogram of CeAsRh for Cu Kα (λ = 1.5418 Å), from DFT lattice parameters and positions (GGA-PBE).
Lines closer than 0.1° are merged.

Crystal structure
```
data_CeAsRh
_symmetry_space_group_name_H-M 'P 63/m m c'
_symmetry_Int_Tables_number 194
_symmetry_space_group_name_Hall '-P 6c 2c'
_cell_length_a 4.3100
_cell_length_b 4.3100
_cell_length_c 7.5939
_cell_angle_alpha 90.00
_cell_angle_beta 90.00
_cell_angle_gamma 120.00
loop_
_atom_site_label
_atom_site_type_symbol
_atom_site_fract_x
_atom_site_fract_y
_atom_site_fract_z
Ce1 Ce 0.0000 0.0000 0.0000
As1 As 0.3333 0.6667 0.2500
Rh1 Rh 0.3333 0.6667 0.7500
```

Peak list (12 most intense, 2θ = 5–70°, by angle)
two_theta  d/Å  Rel. int.  hkl
23.4  3.797  2  0 0 2
23.8  3.733  5  1 0 0
26.6  3.350  2  1 0 1
33.7  2.662  100  1 0 2
41.9  2.155  53  1 1 0
47.9  1.898  12  0 0 4
48.6  1.874  1  1 1 2
48.8  1.866  1  2 0 0
54.2  1.692  1  1 0 4
54.8  1.675  25  2 0 2
65.5  1.425  28  1 1 4
66.2  1.411  1  2 1 0



Calculated powder diffractogram of CeAsRh for Cu Kα (λ = 1.5418 Å), from DFT lattice parameters and positions (GGA-PBE).
Lines closer than 0.1° are merged.

Crystal structure
```
data_CeAsRh
_symmetry_space_group_name_H-M 'P n m a'
_symmetry_Int_Tables_number 62
_symmetry_space_group_name_Hall '-P 2ac 2n'
_cell_length_a 7.569
_cell_length_b 4.399
_cell_length_c 7.326
_cell_angle_alpha 90.00
_cell_angle_beta 90.00
_cell_angle_gamma 90.00
loop_
_atom_site_label
_atom_site_type_symbol
_atom_site_fract_x
_atom_site_fract_y
_atom_site_fract_z
Ce1 Ce 0.009 0.250 0.229
As1 As 0.218 0.250 0.590
Rh1 Rh 0.249 0.750 0.431
```

Peak list (12 most intense, 2θ = 5–70°, by angle)
two_theta  d/Å  Rel. int.  hkl
23.6  3.775  9  0 1 1
33.5  2.671  100  2 1 1
34.1  2.633  59  2 0 2
41.0  2.200  31  0 2 0
42.3  2.135  51  0 1 3
48.1  1.892  16  4 0 0
54.4  1.688  28  2 2 2
55.7  1.649  10  2 0 4
65.0  1.435  13  4 2 0
66.0  1.416  22  4 1 3
66.6  1.405  4  3 1 4
70.0  1.344  12  2 3 1